This entry pairs a crystal structure of K2BaCrO4 with its calculated powder XRD pattern. Radiation: Cu Ka. Structure: the GGA+U geometry in Alexandria.
Neutral-atom scattering factors, no anomalous dispersion.

Atomic structure:
```
K2BaCrO4
1.0
0.000 5.298 3.401
4.078 0.000 3.401
4.078 5.298 0.000
K Ba Cr O
2 1 1 4
Cartesian
2.039 2.649 0.000
2.039 2.649 3.401
4.078 5.298 2.388
4.078 5.298 5.713
6.731 5.298 3.425
4.078 3.761 4.720
1.426 5.298 3.425
4.078 6.834 4.720
```

Principal peaks in the range 10 to 90 degrees two-theta, sorted by position:
- 5.298 Å, 16.7°, I 48.0
- 4.685 Å, 18.9°, I 25.4
- 3.401 Å, 26.2°, I 23.3
- 3.232 Å, 27.6°, I 100.0
- 2.926 Å, 30.6°, I 22.8
- 2.862 Å, 31.3°, I 53.5
- 2.649 Å, 33.8°, I 37.3
- 2.612 Å, 34.3°, I 57.5
- 2.343 Å, 38.4°, I 46.2
- 1.860 Å, 49.0°, I 41.4
- 1.661 Å, 55.3°, I 24.6
- 1.569 Å, 58.9°, I 21.4